# Cd3Ag4Cl12
Simulated powder diffractogram, a wavelength of 1.5418 Å. Input: a cell relaxed with PBE.

Crystal structure
```
data_Cd3Ag4Cl12
_space_group_name_H-M_alt 'I m -3'
_space_group_IT_number 204
_space_group_name_Hall '-I 2 2 3'
_cell_length_a 9.9655
_cell_length_b 9.9655
_cell_length_c 9.9655
_cell_angle_alpha 90.00
_cell_angle_beta 90.00
_cell_angle_gamma 90.00
loop_
_atom_site_label
_atom_site_fract_x
_atom_site_fract_y
_atom_site_fract_z
Cd1 0.0000 0.0000 0.5000
Ag1 0.2500 0.2500 0.2500
Cl1 0.0000 0.3172 0.1833
```

Peak list (12 most intense, 2θ from 10° to 90°, in order of rising 2θ)
hkl 1 1 0, 12.6 deg, intensity 23.1; hkl 2 1 1, 21.8 deg, intensity 12.7; hkl 2 2 0, 25.3 deg, intensity 100.0; hkl 3 1 0, 28.3 deg, intensity 14.9; hkl 3 2 1, 33.7 deg, intensity 8.8; hkl 4 0 0, 36.1 deg, intensity 36.7; hkl 3 3 0, 38.3 deg, intensity 7.3; hkl 4 2 2, 44.5 deg, intensity 74.3; hkl 4 4 0, 51.9 deg, intensity 17.7; hkl 6 0 2, 58.6 deg, intensity 22.7; hkl 6 4 2, 70.7 deg, intensity 23.8; hkl 6 6 0, 82.1 deg, intensity 25.3